Ti16Hg4N5: computed powder diffraction line list (Cu Kα X-rays), based on DFT lattice parameters and positions (PBE).
Lines closer than 0.1° are merged.

Principal peaks in the range 2θ from 15° to 90°, most intense first:
| 2θ (°) | I_rel | (hkl) |
| --- | --- | --- |
| 22.30 | 100 | 1 0 0 |
| 40.63 | 59 | 1 1 9 |
| 33.52 | 46 | 1 0 9 |
| 45.50 | 39 | 2 0 0 |
| 24.89 | 35 | 1 0 4 |
| 26.24 | 27 | 1 0 5 |
| 33.66 | 25 | 1 1 4 |
| 42.75 | 24 | 1 0 13 |
| 51.24 | 22 | 2 1 0 |
| 57.68 | 20 | 2 1 9 |

Atomic structure:
```
data_Ti16Hg4N5
_chemical_formula_sum 'Ti16 Hg4 N5'
_space_group_name_H-M_alt 'P 4/m m m'
_space_group_IT_number 123
_space_group_name_Hall '-P 4 2'
_cell_length_a 3.987
_cell_length_b 3.987
_cell_length_c 32.437
_cell_angle_alpha 90.00
_cell_angle_beta 90.00
_cell_angle_gamma 90.00
loop_
_atom_site_label
_atom_site_type_symbol
_atom_site_fract_x
_atom_site_fract_y
_atom_site_fract_z
Ti1 Ti 0.000 0.000 0.000
Ti2 Ti 0.000 0.000 0.074
Ti3 Ti 0.000 0.000 0.252
Ti4 Ti 0.000 0.000 0.500
Ti5 Ti 0.000 0.500 0.000
Ti6 Ti 0.000 0.500 0.314
Ti7 Ti 0.000 0.500 0.452
Hg1 Hg 0.000 0.000 0.162
Hg2 Hg 0.000 0.000 0.383
N1 N 0.500 0.500 0.042
N2 N 0.500 0.500 0.318
N3 N 0.500 0.500 0.500
```